Starting from a crystal structure in Alexandria, relaxed with PBE, the powder diffractogram of HoHgPd6 was computed for Cu Kα.
Peak positions follow from Bragg's law for the DFT cell and can differ from measured ones.

Crystal structure
abc: 5.736 5.736 4.144
angles: 90.00 90.00 90.00
Atoms (fractional coordinates):
Ho 0.000 0.000 0.000
Hg 0.500 0.500 0.000
Pd 0.000 0.500 0.000
Pd 0.252 0.252 0.500
Pd 0.252 0.748 0.500
Pd 0.500 0.000 0.000
Pd 0.748 0.252 0.500
Pd 0.748 0.748 0.500

Main lines, sorted by position (10 to 90 degrees two-theta):
- 21.44°, rel. 2, hkl 0 0 1
- 21.91°, rel. 4, hkl 1 1 0
- 30.85°, rel. 4, hkl 1 1 1
- 31.18°, rel. 2, hkl 2 0 0
- 38.16°, rel. 100, hkl 2 0 1
- 43.69°, rel. 17, hkl 0 0 2
- 44.68°, rel. 32, hkl 2 2 0
- 64.27°, rel. 21, hkl 2 2 2
- 65.03°, rel. 10, hkl 4 0 0
- 76.56°, rel. 13, hkl 2 0 3
- 77.97°, rel. 24, hkl 4 2 1
- 81.65°, rel. 11, hkl 4 0 2